Record 1
For Si3N4, a GGA-PBE-relaxed structure gives the simulated powder diffraction line list in this record (Cu Kα, 1.54184 Å).

Structural model:
Unit cell a=7.6586 b=7.6586 c=2.9251 alpha=90.00 beta=90.00 gamma=120.00
Space group P6_3/m (No. 176)
Inequivalent atoms, fractional coordinates:
Si  0.1749  0.4062  0.2500
N  0.0307  0.3299  0.7500
N  0.3333  0.6667  0.2500

Largest 10 diffraction maxima, low angle first, 2θ from 10° to 90°:
two_theta, I/Imax
13.35, 37
23.23, 35
26.88, 96
33.48, 100
35.82, 96
41.15, 35
51.84, 44
69.65, 55
72.92, 27
75.22, 21

=====

Record 2
For Si3N4, a GGA-PBE-relaxed structure gives the simulated powder diffraction line list in this record (Cu Kα, 1.54184 Å).

Structural model:
Unit cell a=7.8080 b=7.8080 c=5.6590 alpha=90.00 beta=90.00 gamma=120.00
Space group P31c (No. 159)
Inequivalent atoms, fractional coordinates:
Si  0.0824  0.5702  0.0000
Si  0.0862  0.2534  0.2918
N  0.0000  0.0000  0.2924
N  0.0043  0.3188  0.0379
N  0.0454  0.6554  0.2728
N  0.3333  0.6667  0.9445

Largest 10 diffraction maxima, low angle first, 2θ from 10° to 90°:
two_theta, I/Imax
20.46, 100
22.78, 42
30.81, 95
34.36, 85
35.11, 90
38.66, 54
41.62, 30
43.20, 42
62.03, 34
69.05, 38

=====

Record 3
For Si3N2, a GGA-PBE-relaxed structure gives the simulated powder diffraction line list in this record (Cu Kα, 1.54184 Å).

Structural model:
Unit cell a=6.6996 b=6.6996 c=6.6996 alpha=90.00 beta=90.00 gamma=90.00
Space group Pm-3m (No. 221)
Inequivalent atoms, fractional coordinates:
Si  0.0000  0.3216  0.3216
N  0.2216  0.2216  0.2216

Largest 10 diffraction maxima, low angle first, 2θ from 10° to 90°:
two_theta, I/Imax
13.22, 18
18.73, 67
22.99, 20
26.61, 43
29.82, 82
32.74, 34
40.39, 100
56.65, 21
58.44, 60
73.44, 21

=====

Record 4
For Si23N4, a GGA-PBE-relaxed structure gives the simulated powder diffraction line list in this record (Cu Kα, 1.54184 Å).

Structural model:
Unit cell a=10.1965 b=10.1965 c=10.1965 alpha=90.00 beta=90.00 gamma=90.00
Space group Pm-3n (No. 223)
Inequivalent atoms, fractional coordinates:
Si  0.0000  0.1167  0.3087
Si  0.0000  0.2500  0.5000
Si  0.1832  0.1832  0.1832
N  0.0000  0.0000  0.0000
N  0.0000  0.5000  0.2500

Largest 10 diffraction maxima, low angle first, 2θ from 10° to 90°:
two_theta, I/Imax
19.47, 42
21.35, 27
30.37, 35
31.64, 32
32.87, 100
36.33, 28
52.32, 69
53.14, 23
53.95, 22
55.56, 45

=====

Record 5
For Si2N, a GGA-PBE-relaxed structure gives the simulated powder diffraction line list in this record (Cu Kα, 1.54184 Å).

Structural model:
Unit cell a=2.8213 b=4.0327 c=8.1263 alpha=90.00 beta=90.00 gamma=90.00
Space group Imm2 (No. 44)
Inequivalent atoms, fractional coordinates:
Si  0.0000  0.0000  0.0000
Si  0.0000  0.5000  0.1560
N  0.0000  0.0000  0.7836

Largest 10 diffraction maxima, low angle first, 2θ from 10° to 90°:
two_theta, I/Imax
21.87, 18
24.64, 100
33.63, 58
40.10, 35
44.96, 25
45.12, 37
57.30, 23
60.69, 33
80.35, 10
83.78, 10

=====

Record 6
For Sr3SiN3, a GGA-PBE-relaxed structure gives the simulated powder diffraction line list in this record (Cu Kα, 1.54184 Å).

Structural model:
Unit cell a=14.2470 b=8.2466 c=9.6574 alpha=90.00 beta=90.00 gamma=90.00
Space group Cmce (No. 64)
Inequivalent atoms, fractional coordinates:
Sr  0.0000  0.2094  0.1503
Sr  0.1699  0.1833  0.8749
Si  0.0898  0.0000  0.5000
N  0.0000  0.1175  0.4076
N  0.1564  0.1327  0.6046

Largest 10 diffraction maxima, low angle first, 2θ from 10° to 90°:
two_theta, I/Imax
21.55, 30
26.63, 25
28.50, 100
34.53, 29
37.24, 16
37.89, 19
42.36, 15
43.44, 18
44.01, 16
54.18, 16

=====

Record 7
For YTh2SiN5, a GGA-PBE-relaxed structure gives the simulated powder diffraction line list in this record (Cu Kα, 1.54184 Å).

Structural model:
Unit cell a=6.6693 b=6.6693 c=5.7705 alpha=90.00 beta=90.00 gamma=90.00
Space group P4/mbm (No. 127)
Inequivalent atoms, fractional coordinates:
Y  0.0000  0.0000  0.0000
Th  0.1779  0.3221  0.5000
Si  0.0000  0.5000  0.0000
N  0.0000  0.0000  0.5000
N  0.1380  0.6380  0.2184

Largest 10 diffraction maxima, low angle first, 2θ from 10° to 90°:
two_theta, I/Imax
15.36, 64
29.96, 38
30.98, 100
33.83, 78
42.88, 17
43.65, 46
56.95, 28
59.34, 24
61.10, 16
66.24, 18

=====

Record 8
For VSiN3, a GGA-PBE-relaxed structure gives the simulated powder diffraction line list in this record (Cu Kα, 1.54184 Å).

Structural model:
Unit cell a=3.5623 b=3.5623 c=3.5623 alpha=90.00 beta=90.00 gamma=90.00
Space group Pm-3m (No. 221)
Inequivalent atoms, fractional coordinates:
V  0.0000  0.0000  0.0000
Si  0.5000  0.5000  0.5000
N  0.0000  0.5000  0.5000

Largest 8 diffraction maxima, low angle first, 2θ from 10° to 90°:
two_theta, I/Imax
25.00, 1
35.64, 100
44.03, 29
51.29, 50
57.88, 1
64.02, 35
75.48, 27
86.37, 15

=====

Record 9
For V6Si3N, a GGA-PBE-relaxed structure gives the simulated powder diffraction line list in this record (Cu Kα, 1.54184 Å).

Structural model:
Unit cell a=10.1514 b=4.9875 c=6.7455 alpha=90.00 beta=129.21 gamma=90.00
Space group C2/m (No. 12)
Inequivalent atoms, fractional coordinates:
V  0.0862  0.2479  0.3718
V  0.2257  0.0000  0.8395
Si  0.0000  0.5000  0.0000
Si  0.1935  0.0000  0.1673
N  0.0000  0.0000  0.5000

Largest 10 diffraction maxima, low angle first, 2θ from 10° to 90°:
two_theta, I/Imax
22.17, 35
35.81, 29
36.24, 77
37.32, 73
40.06, 97
41.33, 90
42.95, 51
45.24, 100
52.90, 39
65.34, 30

=====

Record 10
For V4Si2N, a GGA-PBE-relaxed structure gives the simulated powder diffraction line list in this record (Cu Kα, 1.54184 Å).

Structural model:
Unit cell a=6.5002 b=8.9731 c=2.9334 alpha=90.00 beta=90.00 gamma=90.00
Space group Pbam (No. 55)
Inequivalent atoms, fractional coordinates:
V  0.1417  0.1970  0.0000
V  0.1809  0.9230  0.5000
Si  0.0610  0.6337  0.5000
N  0.0000  0.0000  0.0000

Largest 10 diffraction maxima, low angle first, 2θ from 10° to 90°:
two_theta, I/Imax
16.84, 21
36.60, 28
39.22, 35
41.01, 34
42.70, 100
42.94, 18
45.50, 17
51.27, 12
63.42, 13
76.14, 11

=====

Record 11
For Zn4SiN4, a GGA-PBE-relaxed structure gives the simulated powder diffraction line list in this record (Cu Kα, 1.54184 Å).

Structural model:
Unit cell a=8.2117 b=7.5999 c=6.4333 alpha=90.00 beta=90.00 gamma=90.00
Space group Cmcm (No. 63)
Inequivalent atoms, fractional coordinates:
Zn  0.1503  0.2180  0.2500
Zn  0.1675  0.5000  0.0000
Si  0.0000  0.1668  0.7500
N  0.0000  0.2927  0.5159
N  0.1873  0.0489  0.7500

Largest 10 diffraction maxima, low angle first, 2θ from 10° to 90°:
two_theta, I/Imax
21.08, 33
32.12, 86
36.60, 100
37.62, 73
42.92, 24
45.10, 54
48.99, 27
57.27, 40
58.62, 26
77.78, 26